[1]
Computed X-ray diffraction stick pattern
Compound: Sr2YMgTlCu2O7
Radiation: copper Kα
Structure: a structure optimized by DFT (PBE)
Lines closer than 0.1° are merged.

Cell and atoms:
a b c (Å): 3.7385 3.8322 14.4965
angles (deg): 90.00 90.00 90.00
Atoms (fractional coordinates):
Sr 0.0000 0.0000 0.0000
Sr 0.0000 0.0000 0.4842
Y 0.0000 0.0000 0.2427
Mg 0.0000 0.5000 0.6373
Tl 0.5000 0.5000 0.7960
Cu 0.5000 0.5000 0.1226
Cu 0.5000 0.5000 0.3639
O 0.0000 0.0000 0.6747
O 0.0000 0.5000 0.1435
O 0.0000 0.5000 0.3447
O 0.5000 0.0000 0.1381
O 0.5000 0.0000 0.3449
O 0.5000 0.5000 0.5384
O 0.5000 0.5000 0.9593

Main lines, low angle first (2θ = 10–90°):
24.58 deg, I = 36; 26.83 deg, I = 36; 30.23 deg, I = 42; 33.49 deg, I = 100; 34.05 deg, I = 55; 34.47 deg, I = 44



[2]
Computed X-ray diffraction stick pattern
Compound: Al2Si2PbO10
Radiation: copper Kα
Structure: a structure optimized by DFT (PBE)
Lines closer than 0.1° are merged.

Cell and atoms:
a b c (Å): 9.0560 13.2457 5.9108
angles (deg): 90.00 90.00 90.00
Atoms (fractional coordinates):
Al 0.2481 0.0009 0.2416
Al 0.2481 0.4991 0.2416
Al 0.2519 0.5009 0.7416
Al 0.2519 0.9991 0.7416
Al 0.7481 0.0009 0.2584
Al 0.7481 0.4991 0.2584
Al 0.7519 0.5009 0.7584
Al 0.7519 0.9991 0.7584
Si 0.0142 0.6299 0.4891
Si 0.0142 0.8701 0.4891
Si 0.4858 0.1299 0.9891
Si 0.4858 0.3701 0.9891
Si 0.5142 0.6299 0.0109
Si 0.5142 0.8701 0.0109
Si 0.9858 0.1299 0.5109
Si 0.9858 0.3701 0.5109
Pb 0.1327 0.7500 0.9838
Pb 0.3673 0.2500 0.4838
Pb 0.6327 0.7500 0.5162
Pb 0.8673 0.2500 0.0162
O 0.0270 0.2500 0.5249
O 0.1088 0.6039 0.2583
O 0.1088 0.8961 0.2583
O 0.1145 0.6079 0.7169
O 0.1145 0.8921 0.7169
O 0.1173 0.2500 0.0556
O 0.1451 0.0702 0.4961
O 0.1451 0.4298 0.4961
O 0.1565 0.0625 0.9902
O 0.1565 0.4375 0.9902
O 0.3435 0.5625 0.4902
O 0.3435 0.9375 0.4902
O 0.3549 0.5702 0.9961
O 0.3549 0.9298 0.9961
O 0.3827 0.7500 0.5556
O 0.3855 0.1079 0.2169
O 0.3855 0.3921 0.2169
O 0.3912 0.1039 0.7583
O 0.3912 0.3961 0.7583
O 0.4730 0.7500 0.0249
O 0.5270 0.2500 0.9751
O 0.6088 0.6039 0.2417
O 0.6088 0.8961 0.2417
O 0.6145 0.6079 0.7831
O 0.6145 0.8921 0.7831
O 0.6173 0.2500 0.4444
O 0.6451 0.0702 0.0039
O 0.6451 0.4298 0.0039
O 0.6565 0.0625 0.5098
O 0.6565 0.4375 0.5098
O 0.8435 0.5625 0.0098
O 0.8435 0.9375 0.0098
O 0.8549 0.5702 0.5039
O 0.8549 0.9298 0.5039
O 0.8827 0.7500 0.9444
O 0.8855 0.1079 0.2831
O 0.8855 0.3921 0.2831
O 0.8912 0.1039 0.7417
O 0.8912 0.3961 0.7417
O 0.9730 0.7500 0.4751

Main lines, low angle first (2θ = 10–90°):
19.14 deg, I = 100; 20.73 deg, I = 95; 22.42 deg, I = 64; 27.06 deg, I = 56; 32.53 deg, I = 64; 41.84 deg, I = 64



[3]
Computed X-ray diffraction stick pattern
Compound: Br
Radiation: copper Kα
Structure: a structure optimized by DFT (PBE)
Lines closer than 0.1° are merged.

Cell and atoms:
a b c (Å): 4.8287 4.8287 4.8287
angles (deg): 145.37 145.37 49.79
Atoms (fractional coordinates):
Br 0.0000 0.0000 0.0000

Main lines, low angle first (2θ = 10–90°):
20.27 deg, I = 86; 32.79 deg, I = 100; 44.21 deg, I = 43; 44.58 deg, I = 21; 49.43 deg, I = 30; 74.62 deg, I = 18



[4]
Computed X-ray diffraction stick pattern
Compound: U3TiS6
Radiation: copper Kα
Structure: a structure optimized by DFT (PBE)
Lines closer than 0.1° are merged.

Cell and atoms:
a b c (Å): 3.7005 10.4947 10.3242
angles (deg): 90.00 90.00 90.00
Atoms (fractional coordinates):
U 0.0000 0.0625 0.0000
U 0.0000 0.9375 0.5000
U 0.5000 0.2425 0.3004
U 0.5000 0.4260 0.9683
U 0.5000 0.5740 0.4683
U 0.5000 0.7575 0.8004
Ti 0.0000 0.2813 0.6582
Ti 0.0000 0.7187 0.1582
S 0.0000 0.0524 0.2655
S 0.0000 0.3053 0.1124
S 0.0000 0.3831 0.4355
S 0.0000 0.6169 0.9355
S 0.0000 0.6947 0.6124
S 0.0000 0.9476 0.7655
S 0.5000 0.1325 0.5475
S 0.5000 0.1929 0.8535
S 0.5000 0.4447 0.7032
S 0.5000 0.5553 0.2032
S 0.5000 0.8071 0.3535
S 0.5000 0.8675 0.0475

Main lines, low angle first (2θ = 10–90°):
12.03 deg, I = 62; 24.19 deg, I = 87; 25.52 deg, I = 59; 26.92 deg, I = 100; 30.81 deg, I = 75; 30.93 deg, I = 51



[5]
Computed X-ray diffraction stick pattern
Compound: NiB3Mo3
Radiation: copper Kα
Structure: a structure optimized by DFT (PBE)
Lines closer than 0.1° are merged.

Cell and atoms:
a b c (Å): 4.5233 4.5233 10.8097
angles (deg): 90.00 90.00 138.74
Atoms (fractional coordinates):
Ni 0.0000 0.0000 0.0000
Ni 0.0000 0.0000 0.5000
B 0.2912 0.7088 0.7500
B 0.4105 0.5895 0.6054
B 0.4105 0.5895 0.8946
B 0.5895 0.4105 0.1054
B 0.5895 0.4105 0.3946
B 0.7088 0.2912 0.2500
Mo 0.0021 0.9979 0.2500
Mo 0.2873 0.7127 0.1091
Mo 0.2873 0.7127 0.3909
Mo 0.7127 0.2873 0.6091
Mo 0.7127 0.2873 0.8909
Mo 0.9979 0.0021 0.7500

Main lines, low angle first (2θ = 10–90°):
31.10 deg, I = 46; 39.21 deg, I = 58; 39.56 deg, I = 97; 42.77 deg, I = 100; 45.28 deg, I = 62; 50.02 deg, I = 35